Entry 1:
This entry pairs a crystal structure of FeOF with its simulated powder XRD pattern. Radiation: Cu Kα. Structure: a structure optimized by DFT (GGA+U).
Kinematic intensities with the Lorentz-polarization factor, no thermal factor.

Structure:
Cell lengths 4.785, 3.061, 14.150 Å; angles 90.00, 91.25, 90.00 degrees
Space group Pm (No. 6)
Inequivalent atoms, fractional coordinates:
Fe (0.000, 0.000, 0.000) x1
Fe (0.005, 0.000, 0.666) x1
Fe (0.435, 0.500, 0.838) x1
Fe (0.492, 0.500, 0.529) x1
Fe (0.566, 0.500, 0.161) x1
Fe (0.985, 0.000, 0.333) x1
O (0.179, 0.500, 0.604) x1
O (0.195, 0.500, 0.947) x1
O (0.284, 0.000, 0.773) x1
O (0.695, 0.000, 0.571) x1
O (0.705, 0.000, 0.238) x1
O (0.820, 0.500, 0.063) x1
F (0.194, 0.500, 0.275) x1
F (0.301, 0.000, 0.432) x1
F (0.310, 0.000, 0.112) x1
F (0.689, 0.000, 0.901) x1
F (0.790, 0.500, 0.738) x1
F (0.813, 0.500, 0.403) x1

Top 6 peaks for 10 to 80 degrees two-theta, in order of rising 2θ:
3.396 Å, 26.24°, rel. 100, (1 0 -3); 3.322 Å, 26.83°, rel. 97, (1 0 3); 2.578 Å, 34.80°, rel. 52, (1 1 0); 2.567 Å, 34.95°, rel. 51, (0 1 3); 1.740 Å, 52.60°, rel. 27, (2 1 3); 1.730 Å, 52.93°, rel. 27, (1 1 6)

=====

Entry 2:
This entry pairs a crystal structure of Na2MnAsCO7 with its simulated powder XRD pattern. Radiation: Cu Kα. Structure: a structure optimized by DFT (GGA+U).
Kinematic intensities with the Lorentz-polarization factor, no thermal factor.

Structure:
Cell lengths 5.393, 6.795, 9.141 Å; angles 90.00, 92.19, 90.00 degrees
Space group P2_1/m (No. 11)
Inequivalent atoms, fractional coordinates:
Na (0.231, 0.000, 0.274) x4
Mn (0.222, 0.250, 0.850) x2
As (0.293, 0.750, 0.927) x2
C (0.280, 0.250, 0.574) x2
O (0.071, 0.250, 0.648) x2
O (0.163, 0.750, 0.094) x2
O (0.209, 0.549, 0.824) x4
O (0.274, 0.250, 0.437) x2
O (0.383, 0.250, 0.046) x2
O (0.479, 0.250, 0.659) x2

Top 6 peaks for 10 to 80 degrees two-theta, in order of rising 2θ:
3.790 Å, 23.47°, rel. 89, (1 1 1); 3.551 Å, 25.07°, rel. 94, (1 0 -2); 3.397 Å, 26.23°, rel. 78, (0 2 0); 2.758 Å, 32.47°, rel. 46, (1 2 -1); 2.726 Å, 32.86°, rel. 75, (0 2 2); 2.695 Å, 33.25°, rel. 100, (2 0 0)

=====

Entry 3:
This entry pairs a crystal structure of Na3Li3Mn2P2C2O14 with its simulated powder XRD pattern. Radiation: Cu Kα. Structure: a structure optimized by DFT (GGA+U).
Kinematic intensities with the Lorentz-polarization factor, no thermal factor.

Structure:
Cell lengths 6.792, 8.759, 10.260 Å; angles 88.34, 89.97, 89.77 degrees
Space group P1 (No. 1)
Inequivalent atoms, fractional coordinates:
Na (0.000, 0.000, 0.000) x1
Na (0.000, 0.003, 0.500) x1
Na (0.002, 0.497, 0.747) x1
Na (0.245, 0.666, 0.998) x1
Na (0.500, 0.496, 0.747) x1
Na (0.503, 0.499, 0.247) x1
Li (0.043, 0.466, 0.268) x1
Li (0.261, 0.661, 0.498) x1
Li (0.525, 0.023, 0.490) x1
Li (0.539, 0.029, 0.984) x1
Li (0.731, 0.849, 0.746) x1
Li (0.742, 0.845, 0.247) x1
Mn (0.256, 0.107, 0.764) x1
Mn (0.259, 0.098, 0.262) x1
Mn (0.753, 0.393, 0.483) x1
Mn (0.755, 0.389, 0.989) x1
P (0.254, 0.333, 0.022) x1
P (0.257, 0.341, 0.515) x1
P (0.748, 0.157, 0.731) x1
P (0.754, 0.155, 0.232) x1
C (0.236, 0.788, 0.248) x1
C (0.254, 0.811, 0.725) x1
C (0.737, 0.708, 0.509) x1
C (0.738, 0.707, 0.009) x1
O (0.071, 0.419, 0.967) x1
O (0.071, 0.431, 0.466) x1
O (0.216, 0.644, 0.225) x1
O (0.238, 0.319, 0.174) x1
O (0.243, 0.855, 0.845) x1
O (0.245, 0.837, 0.366) x1
O (0.249, 0.323, 0.667) x1
O (0.250, 0.668, 0.696) x1
O (0.252, 0.886, 0.149) x1
O (0.268, 0.179, 0.458) x1
O (0.269, 0.915, 0.632) x1
O (0.273, 0.168, 0.969) x1
O (0.435, 0.443, 0.476) x1
O (0.436, 0.432, 0.984) x1
O (0.577, 0.057, 0.788) x1
O (0.577, 0.064, 0.291) x1
O (0.718, 0.846, 0.049) x1
O (0.721, 0.847, 0.549) x1
O (0.724, 0.177, 0.580) x1
O (0.729, 0.170, 0.080) x1
O (0.737, 0.677, 0.386) x1
O (0.745, 0.679, 0.885) x1
O (0.751, 0.318, 0.790) x1
O (0.753, 0.596, 0.096) x1
O (0.755, 0.597, 0.597) x1
O (0.771, 0.320, 0.284) x1
O (0.938, 0.055, 0.264) x1
O (0.938, 0.063, 0.762) x1

Top 6 peaks for 10 to 80 degrees two-theta, in order of rising 2θ:
8.755 Å, 10.10°, rel. 100, (0 1 0); 3.396 Å, 26.24°, rel. 88, (2 0 0); 3.378 Å, 26.38°, rel. 31, (0 2 2); 2.687 Å, 33.35°, rel. 32, (2 2 0); 2.679 Å, 33.45°, rel. 30, (2 -2 0); 2.565 Å, 34.98°, rel. 61, (0 0 4)

=====

Entry 4:
This entry pairs a crystal structure of HfMo2Se8Cl14O2 with its simulated powder XRD pattern. Radiation: Cu Kα. Structure: a structure optimized by DFT (GGA+U).
Kinematic intensities with the Lorentz-polarization factor, no thermal factor.

Structure:
Cell lengths 13.869, 7.393, 15.686 Å; angles 90.00, 104.29, 90.00 degrees
Space group P2_1/c (No. 14)
Inequivalent atoms, fractional coordinates:
Hf (0.000, 0.000, 0.000) x2
Mo (0.446, 0.192, 0.402) x4
Se (0.152, 0.116, 0.715) x4
Se (0.182, 0.631, 0.310) x4
Se (0.258, 0.507, 0.134) x4
Se (0.290, 0.746, 0.731) x4
Cl (0.024, 0.121, 0.859) x4
Cl (0.073, 0.715, 0.970) x4
Cl (0.168, 0.112, 0.078) x4
Cl (0.290, 0.028, 0.378) x4
Cl (0.379, 0.723, 0.568) x4
Cl (0.453, 0.110, 0.259) x4
Cl (0.468, 0.160, 0.560) x4
O (0.398, 0.097, 0.888) x4

Top 6 peaks for 10 to 80 degrees two-theta, in order of rising 2θ:
5.794 Å, 15.29°, rel. 63, (2 0 -2); 5.719 Å, 15.50°, rel. 100, (1 1 1); 4.664 Å, 19.03°, rel. 33, (1 1 2); 4.497 Å, 19.74°, rel. 63, (2 1 1); 3.919 Å, 22.69°, rel. 22, (1 0 -4); 2.317 Å, 38.87°, rel. 22, (2 3 -1)